For HgH2N, a crystal structure in Alexandria, relaxed with GGA-PBE gives the calculated PXRD pattern in this record (Cu Kα (weighted mean of Kα1 and Kα2)).
Neutral-atom scattering factors, no anomalous dispersion.

The 8 most intense peaks (10 to 90 degrees two-theta), low angle first:
2θ = 23.42°, I 86.7
2θ = 38.71°, I 100.0
2θ = 45.70°, I 33.3
2θ = 45.82°, I 16.5
2θ = 61.43°, I 20.8
2θ = 70.02°, I 23.3
2θ = 70.16°, I 11.6
2θ = 74.96°, I 12.2

Structure:
Cell lengths 4.649, 4.649, 4.649 Å; angles 119.89, 119.89, 90.20 degrees
Positions (direct):
Hg 0.375 0.625 0.750
Hg 0.625 0.375 0.250
H 0.000 0.000 0.000
H 0.000 0.000 0.500
H 0.000 0.500 0.000
H 0.500 0.000 0.500
N 0.125 0.875 0.250
N 0.875 0.125 0.750

For Hg2HPd6N, a crystal structure in Alexandria, relaxed with GGA-PBE gives the calculated PXRD pattern in this record (Cu Kα (weighted mean of Kα1 and Kα2)).
Neutral-atom scattering factors, no anomalous dispersion.

The 8 most intense peaks (10 to 90 degrees two-theta), low angle first:
2θ = 37.40°, I 100.0
2θ = 43.21°, I 17.6
2θ = 43.37°, I 17.4
2θ = 43.78°, I 16.9
2θ = 75.40°, I 12.9
2θ = 75.63°, I 12.8
2θ = 76.20°, I 12.5
2θ = 79.76°, I 11.5

Structure:
Cell lengths 5.911, 5.885, 5.875 Å; angles 60.35, 59.91, 59.74 degrees
Positions (direct):
Hg 0.250 0.250 0.250
Hg 0.750 0.750 0.750
H 0.000 0.000 0.000
Pd 0.247 0.753 0.753
Pd 0.248 0.752 0.248
Pd 0.249 0.249 0.751
Pd 0.751 0.751 0.249
Pd 0.752 0.248 0.752
Pd 0.753 0.247 0.247
N 0.500 0.500 0.500

For NaHg4H4, a crystal structure in Alexandria, relaxed with GGA-PBE gives the calculated PXRD pattern in this record (Cu Kα (weighted mean of Kα1 and Kα2)).
Neutral-atom scattering factors, no anomalous dispersion.

The 8 most intense peaks (10 to 90 degrees two-theta), low angle first:
2θ = 18.88°, I 27.7
2θ = 25.56°, I 100.0
2θ = 28.03°, I 62.2
2θ = 36.46°, I 34.8
2θ = 38.30°, I 71.4
2θ = 41.37°, I 43.0
2θ = 46.61°, I 35.2
2θ = 49.26°, I 34.6

Structure:
Cell lengths 5.867, 5.867, 5.867 Å; angles 107.12, 107.12, 114.29 degrees
Positions (direct):
Na 0.000 0.000 0.000
Hg 0.281 0.700 0.981
Hg 0.300 0.281 0.582
Hg 0.700 0.719 0.418
Hg 0.719 0.300 0.019
H 0.002 0.312 0.314
H 0.312 0.998 0.310
H 0.688 0.002 0.690
H 0.998 0.688 0.686

For NaHg6H3, a crystal structure in Alexandria, relaxed with GGA-PBE gives the calculated PXRD pattern in this record (Cu Kα (weighted mean of Kα1 and Kα2)).
Neutral-atom scattering factors, no anomalous dispersion.

The 8 most intense peaks (10 to 90 degrees two-theta), low angle first:
2θ = 17.85°, I 78.4
2θ = 28.81°, I 81.2
2θ = 29.50°, I 88.4
2θ = 30.53°, I 35.3
2θ = 31.99°, I 51.9
2θ = 32.97°, I 77.9
2θ = 35.22°, I 100.0
2θ = 37.18°, I 38.5

Structure:
Cell lengths 8.136, 5.813, 10.200 Å; angles 90.00, 110.09, 90.00 degrees
Positions (direct):
Na 0.000 0.000 0.000
Na 0.000 0.500 0.500
Hg 0.052 0.016 0.377
Hg 0.052 0.484 0.877
Hg 0.363 0.173 0.712
Hg 0.363 0.327 0.212
Hg 0.384 0.713 0.963
Hg 0.384 0.787 0.463
Hg 0.616 0.213 0.537
Hg 0.616 0.287 0.037
Hg 0.637 0.673 0.788
Hg 0.637 0.827 0.288
Hg 0.948 0.516 0.123
Hg 0.948 0.984 0.623
H 0.012 0.186 0.794
H 0.012 0.314 0.294
H 0.500 0.000 0.000
H 0.500 0.500 0.500
H 0.988 0.686 0.706
H 0.988 0.814 0.206

For Na2Hg5H2, a crystal structure in Alexandria, relaxed with GGA-PBE gives the calculated PXRD pattern in this record (Cu Kα (weighted mean of Kα1 and Kα2)).
Neutral-atom scattering factors, no anomalous dispersion.

The 8 most intense peaks (10 to 90 degrees two-theta), low angle first:
2θ = 20.28°, I 47.3
2θ = 34.02°, I 100.0
2θ = 34.16°, I 99.0
2θ = 38.71°, I 72.6
2θ = 41.24°, I 28.8
2θ = 57.84°, I 42.8
2θ = 67.00°, I 28.8
2θ = 67.24°, I 29.2

Structure:
Cell lengths 9.916, 9.916, 9.916 Å; angles 141.37, 55.96, 141.13 degrees
Positions (direct):
Na 0.000 0.000 0.000
Na 0.252 0.002 0.250
Na 0.500 0.000 0.500
Na 0.748 0.998 0.750
Hg 0.130 0.000 0.630
Hg 0.130 0.500 0.130
Hg 0.247 0.497 0.750
Hg 0.369 0.000 0.869
Hg 0.369 0.500 0.369
Hg 0.631 0.000 0.131
Hg 0.631 0.500 0.631
Hg 0.753 0.503 0.250
Hg 0.870 0.000 0.370
Hg 0.870 0.500 0.870
H 0.249 0.000 0.749
H 0.249 0.500 0.249
H 0.751 0.000 0.251
H 0.751 0.500 0.751

For NaHgHO, a crystal structure in Alexandria, relaxed with GGA-PBE gives the calculated PXRD pattern in this record (Cu Kα (weighted mean of Kα1 and Kα2)).
Neutral-atom scattering factors, no anomalous dispersion.

The 8 most intense peaks (10 to 90 degrees two-theta), low angle first:
2θ = 13.80°, I 100.0
2θ = 26.55°, I 89.3
2θ = 27.81°, I 47.6
2θ = 29.81°, I 32.3
2θ = 29.93°, I 73.2
2θ = 30.16°, I 62.0
2θ = 30.26°, I 36.0
2θ = 46.87°, I 35.9

Structure:
Cell lengths 3.878, 3.878, 6.416 Å; angles 90.90, 90.90, 59.97 degrees
Positions (direct):
Na 0.000 0.000 0.000
Hg 0.325 0.325 0.481
H 0.664 0.664 0.784
O 0.666 0.666 0.936